Structure and computed PXRD pattern of Mn2B (a crystal structure in Alexandria, relaxed with PBE; Cu Kα X-rays).
Peak positions follow from Bragg's law for the DFT cell and can differ from measured ones.

Cell and atoms:
a = 5.0597 Å, b = 5.0597 Å, c = 4.1068 Å
α = 90.00°, β = 90.00°, γ = 90.00°
Space group I4/mcm (No. 140)
One atom of each set of equivalent atoms:
Mn1 0.1591 0.3409 0.0000 (multiplicity 8)
B1 0.0000 0.0000 0.2500 (multiplicity 4)

The 10 most intense peaks (2θ = 10–90°), sorted by position:
| Position (°2θ) | Rel. int. | index |
| --- | --- | --- |
| 24.9 | 10.7 | 1 1 0 |
| 35.5 | 10.9 | 2 0 0 |
| 44.1 | 21.0 | 0 0 2 |
| 45.8 | 100.0 | 2 1 1 |
| 51.3 | 7.5 | 1 1 2 |
| 57.6 | 14.4 | 3 1 0 |
| 57.8 | 9.1 | 2 0 2 |
| 75.3 | 7.5 | 3 1 2 |
| 81.9 | 10.7 | 4 1 1 |
| 82.3 | 15.3 | 2 1 3 |